# 1
Diffraction record for Na8Bi5O14. The powder diffractogram is theoretical, not measured: it uses a crystal structure in the Materials Project, relaxed with PBE and λ = 1.5418 Å (Cu Kα).
Neutral-atom scattering factors, no anomalous dispersion.

Largest 6 diffraction maxima, sorted by position, 5° ≤ 2θ ≤ 70°:
(hkl)	Position (°2θ)	I_rel
0 1 0	11.19	1000
1 -1 0	11.61	666
1 1 -4	31.46	540
-1 2 3	36.11	681
2 -3 3	36.74	675
3 1 -2	37.21	627

Atomic structure:
```
data_Na8Bi5O14
_cell_length_a 9.1619
_cell_length_b 9.2100
_cell_length_c 11.5570
_cell_angle_alpha 105.28
_cell_angle_beta 100.77
_cell_angle_gamma 112.37
_space_group_name_H-M_alt 'P -1'
_space_group_IT_number 2
loop_
_space_group_symop_operation_xyz
'x,y,z'
'-x,-y,-z'
loop_
_atom_site_label
_atom_site_type_symbol
_atom_site_fract_x
_atom_site_fract_y
_atom_site_fract_z
Na1 Na 0.0000 0.0000 0.0000
Na2 Na 0.0501 0.8211 0.4825
Na3 Na 0.0699 0.6467 0.9301
Na4 Na 0.1195 0.4853 0.3936
Na5 Na 0.1933 0.1234 0.3289
Na6 Na 0.1976 0.9097 0.7797
Na7 Na 0.3059 0.8259 0.3106
Na8 Na 0.3879 0.0333 0.1236
Na9 Na 0.5000 0.5000 0.5000
Bi1 Bi 0.1032 0.2681 0.8416
Bi2 Bi 0.2731 0.5810 0.7023
Bi3 Bi 0.3103 0.3890 0.1809
Bi4 Bi 0.3494 0.2107 0.6397
Bi5 Bi 0.4627 0.6903 0.0323
O1 O 0.0369 0.4139 0.7306
O2 O 0.0823 0.2527 0.1995
O3 O 0.1159 0.0775 0.6682
O4 O 0.1323 0.8733 0.1483
O5 O 0.1542 0.6794 0.5977
O6 O 0.2103 0.4949 0.0572
O7 O 0.2472 0.3469 0.5461
O8 O 0.2797 0.1921 0.0085
O9 O 0.2982 0.0262 0.4751
O10 O 0.3413 0.7878 0.9065
O11 O 0.3935 0.6163 0.3474
O12 O 0.4286 0.4414 0.8214
O13 O 0.4446 0.2958 0.2887
O14 O 0.4643 0.1219 0.7789
```

---

# 2
Diffraction record for Hg2P3Br. The powder diffractogram is theoretical, not measured: it uses a crystal structure in the Materials Project, relaxed with PBE and λ = 1.5418 Å (Cu Kα).
Neutral-atom scattering factors, no anomalous dispersion.

Largest 6 diffraction maxima, sorted by position, 5° ≤ 2θ ≤ 70°:
(hkl)	Position (°2θ)	I_rel
2 0 0	21.75	151
1 0 2	24.96	1000
2 2 1	31.46	385
1 2 2	31.80	256
0 2 3	39.33	186
3 0 2	40.16	242

Atomic structure:
```
data_Hg2P3Br
_cell_length_a 8.1718
_cell_length_b 9.1392
_cell_length_c 7.9437
_cell_angle_alpha 90.00
_cell_angle_beta 90.00
_cell_angle_gamma 90.00
_space_group_name_H-M_alt 'P b c n'
_space_group_IT_number 60
loop_
_space_group_symop_operation_xyz
'x,y,z'
'-x,-y,-z'
'-x+1/2,-y+1/2,z+1/2'
'x+1/2,y+1/2,-z+1/2'
'x+1/2,-y+1/2,-z'
'-x+1/2,y+1/2,z'
'-x,y,-z+1/2'
'x,-y,z+1/2'
loop_
_atom_site_label
_atom_site_type_symbol
_atom_site_fract_x
_atom_site_fract_y
_atom_site_fract_z
Hg1 Hg 0.2169 0.1719 0.1071
P1 P 0.0000 0.3214 0.2500
P2 P 0.1117 0.4841 0.4223
Br1 Br 0.0000 0.1136 0.7500
```

---

# 3
Diffraction record for LiAlSiO4. The powder diffractogram is theoretical, not measured: it uses a crystal structure in the Materials Project, relaxed with PBE and λ = 1.5418 Å (Cu Kα).
Neutral-atom scattering factors, no anomalous dispersion.

Largest 6 diffraction maxima, sorted by position, 5° ≤ 2θ ≤ 70°:
(hkl)	Position (°2θ)	I_rel
1 1 -1	21.92	1000
2 0 0	22.62	807
1 0 2	27.77	779
2 1 -1	28.30	439
2 1 -2	32.27	402
0 2 0	34.88	408

Atomic structure:
```
data_LiAlSiO4
_cell_length_a 8.1849
_cell_length_b 5.1449
_cell_length_c 8.2972
_cell_angle_alpha 90.00
_cell_angle_beta 106.14
_cell_angle_gamma 90.00
_space_group_name_H-M_alt 'P 1 c 1'
_space_group_IT_number 7
loop_
_space_group_symop_operation_xyz
'x,y,z'
'x,-y,z+1/2'
loop_
_atom_site_label
_atom_site_type_symbol
_atom_site_fract_x
_atom_site_fract_y
_atom_site_fract_z
Li1 Li 0.0000 0.1559 0.0000
Li2 Li 0.5294 0.3303 0.6949
Al1 Al 0.3941 0.1789 0.2921
Al2 Al 0.8941 0.3301 0.6349
Si1 Si 0.2734 0.3253 0.9186
Si2 Si 0.7677 0.1722 0.2557
O1 O 0.0815 0.2895 0.7946
O2 O 0.2447 0.2212 0.0960
O3 O 0.3499 0.3782 0.4471
O4 O 0.4077 0.1518 0.8468
O5 O 0.5857 0.2981 0.2601
O6 O 0.7428 0.1381 0.7026
O7 O 0.8432 0.3349 0.1207
O8 O 0.9041 0.1926 0.4436
```